(1)
Theoretical XRD peak list
Compound: KFe2Br
Radiation: Cu Kα (weighted mean of Kα1 and Kα2)
Structure: a DFT-relaxed cell (PBE, Alexandria)
Kinematic intensities with the Lorentz-polarization factor, no thermal factor.

Principal peaks in the range 2θ = 10–90°, by angle:
10.70 deg, d = 8.266 Å, intensity 43; 32.50 deg, d = 2.755 Å, intensity 10; 32.66 deg, d = 2.742 Å, intensity 100; 34.46 deg, d = 2.602 Å, intensity 9; 38.91 deg, d = 2.314 Å, intensity 17; 41.49 deg, d = 2.177 Å, intensity 32; 50.29 deg, d = 1.814 Å, intensity 12; 51.80 deg, d = 1.765 Å, intensity 29; 56.90 deg, d = 1.618 Å, intensity 8; 62.55 deg, d = 1.485 Å, intensity 21; 68.44 deg, d = 1.371 Å, intensity 7; 85.48 deg, d = 1.136 Å, intensity 11

Structure:
```
KFe2Br
1.0
1.765 1.019 8.266
-1.765 1.019 8.266
0.000 -2.038 8.266
K Fe Br
1 2 1
direct
0.000 0.000 0.000
0.226 0.226 0.226
0.506 0.506 0.506
0.765 0.765 0.765
```

(2)
Theoretical XRD peak list
Compound: KMgFe2Br8
Radiation: Cu Kα (weighted mean of Kα1 and Kα2)
Structure: a DFT-relaxed cell (PBE, Alexandria)
Kinematic intensities with the Lorentz-polarization factor, no thermal factor.

Principal peaks in the range 2θ = 10–90°, by angle:
17.63 deg, d = 5.030 Å, intensity 28; 27.60 deg, d = 3.232 Å, intensity 37; 27.83 deg, d = 3.206 Å, intensity 100; 32.18 deg, d = 2.782 Å, intensity 58; 46.00 deg, d = 1.973 Å, intensity 37; 46.29 deg, d = 1.961 Å, intensity 37; 54.49 deg, d = 1.684 Å, intensity 12; 54.75 deg, d = 1.677 Å, intensity 29; 54.88 deg, d = 1.673 Å, intensity 14; 67.31 deg, d = 1.391 Å, intensity 11; 74.55 deg, d = 1.273 Å, intensity 10; 85.60 deg, d = 1.135 Å, intensity 11

Structure:
```
KMgFe2Br8
1.0
6.794 0.000 0.000
-3.397 5.884 0.000
0.000 0.000 9.695
K Mg Fe Br
1 1 2 8
direct
0.000 0.000 0.000
0.000 0.000 0.500
0.333 0.667 0.739
0.667 0.333 0.261
0.000 0.318 0.668
0.000 0.682 0.332
0.318 0.000 0.668
0.318 0.318 0.332
0.333 0.667 0.982
0.667 0.333 0.018
0.682 0.000 0.332
0.682 0.682 0.668
```

(3)
Theoretical XRD peak list
Compound: KFe2PbBr8
Radiation: Cu Kα (weighted mean of Kα1 and Kα2)
Structure: a DFT-relaxed cell (PBE, Alexandria)
Kinematic intensities with the Lorentz-polarization factor, no thermal factor.

Principal peaks in the range 2θ = 10–90°, by angle:
15.43 deg, d = 5.742 Å, intensity 31; 15.88 deg, d = 5.581 Å, intensity 91; 22.83 deg, d = 3.895 Å, intensity 47; 25.82 deg, d = 3.450 Å, intensity 54; 27.26 deg, d = 3.272 Å, intensity 34; 28.67 deg, d = 3.114 Å, intensity 100; 31.15 deg, d = 2.871 Å, intensity 39; 35.94 deg, d = 2.499 Å, intensity 30; 41.82 deg, d = 2.160 Å, intensity 42; 43.85 deg, d = 2.065 Å, intensity 59; 45.57 deg, d = 1.990 Å, intensity 28; 46.23 deg, d = 1.964 Å, intensity 29

Structure:
```
KFe2PbBr8
1.0
5.757 -3.981 0.000
5.757 3.981 0.000
-0.727 0.000 9.995
K Fe Pb Br
1 2 1 8
direct
0.000 0.000 0.000
0.379 0.379 0.729
0.621 0.621 0.271
0.000 0.000 0.500
0.249 0.735 0.270
0.265 0.265 0.520
0.265 0.751 0.730
0.286 0.286 0.929
0.714 0.714 0.071
0.735 0.249 0.270
0.735 0.735 0.480
0.751 0.265 0.730
```

(4)
Theoretical XRD peak list
Compound: K3Rb3FeBr8
Radiation: Cu Kα (weighted mean of Kα1 and Kα2)
Structure: a DFT-relaxed cell (PBE, Alexandria)
Kinematic intensities with the Lorentz-polarization factor, no thermal factor.

Principal peaks in the range 2θ = 10–90°, by angle:
11.48 deg, d = 7.707 Å, intensity 41; 26.55 deg, d = 3.358 Å, intensity 100; 28.89 deg, d = 3.090 Å, intensity 9; 34.73 deg, d = 2.583 Å, intensity 11; 34.93 deg, d = 2.569 Å, intensity 9; 37.53 deg, d = 2.396 Å, intensity 29; 38.26 deg, d = 2.353 Å, intensity 31; 47.17 deg, d = 1.927 Å, intensity 13; 48.86 deg, d = 1.864 Å, intensity 8; 54.67 deg, d = 1.679 Å, intensity 8; 61.28 deg, d = 1.513 Å, intensity 8; 62.29 deg, d = 1.491 Å, intensity 9

Structure:
```
K3Rb3FeBr8
1.0
8.142 -4.709 0.000
8.142 4.709 0.000
-5.421 0.000 7.901
K Rb Fe Br
3 3 1 8
direct
0.000 0.000 0.000
0.000 0.500 0.000
0.500 0.000 0.000
0.000 0.500 0.500
0.500 0.000 0.500
0.500 0.500 0.500
0.500 0.500 0.000
0.246 0.246 0.237
0.292 0.702 0.196
0.298 0.298 0.804
0.298 0.708 0.804
0.702 0.292 0.196
0.702 0.702 0.196
0.708 0.298 0.804
0.754 0.754 0.763
```

(5)
Theoretical XRD peak list
Compound: KRbFe2Br8
Radiation: Cu Kα (weighted mean of Kα1 and Kα2)
Structure: a DFT-relaxed cell (PBE, Alexandria)
Kinematic intensities with the Lorentz-polarization factor, no thermal factor.

Principal peaks in the range 2θ = 10–90°, by angle:
15.62 deg, d = 5.675 Å, intensity 37; 15.90 deg, d = 5.574 Å, intensity 87; 21.73 deg, d = 4.090 Å, intensity 44; 22.54 deg, d = 3.944 Å, intensity 70; 25.62 deg, d = 3.478 Å, intensity 66; 27.35 deg, d = 3.261 Å, intensity 61; 27.76 deg, d = 3.213 Å, intensity 100; 28.37 deg, d = 3.146 Å, intensity 44; 30.77 deg, d = 2.906 Å, intensity 43; 41.49 deg, d = 2.176 Å, intensity 51; 42.36 deg, d = 2.134 Å, intensity 42; 46.07 deg, d = 1.970 Å, intensity 37

Structure:
```
KRbFe2Br8
1.0
5.817 -3.940 0.000
5.817 3.940 0.000
-0.399 0.000 11.109
K Rb Fe Br
1 1 2 8
direct
0.000 0.000 0.000
0.000 0.000 0.500
0.404 0.404 0.243
0.596 0.596 0.757
0.232 0.718 0.757
0.282 0.768 0.243
0.290 0.290 0.064
0.302 0.302 0.421
0.698 0.698 0.579
0.710 0.710 0.936
0.718 0.232 0.757
0.768 0.282 0.243
```

(6)
Theoretical XRD peak list
Compound: KVFeBr6
Radiation: Cu Kα (weighted mean of Kα1 and Kα2)
Structure: a DFT-relaxed cell (PBE, Alexandria)
Kinematic intensities with the Lorentz-polarization factor, no thermal factor.

Principal peaks in the range 2θ = 10–90°, by angle:
11.93 deg, d = 7.419 Å, intensity 63; 15.59 deg, d = 5.682 Å, intensity 10; 19.68 deg, d = 4.511 Å, intensity 29; 29.78 deg, d = 3.000 Å, intensity 100; 36.56 deg, d = 2.457 Å, intensity 71; 43.89 deg, d = 2.063 Å, intensity 14; 45.96 deg, d = 1.975 Å, intensity 23; 48.03 deg, d = 1.894 Å, intensity 29; 57.04 deg, d = 1.615 Å, intensity 19; 57.54 deg, d = 1.602 Å, intensity 11; 60.01 deg, d = 1.542 Å, intensity 9; 61.84 deg, d = 1.500 Å, intensity 11

Structure:
```
KVFeBr6
1.0
6.562 0.000 0.000
-3.281 5.682 0.000
0.000 0.000 7.419
K V Fe Br
1 1 1 6
direct
0.000 0.000 0.000
0.667 0.333 0.500
0.333 0.667 0.500
0.013 0.375 0.308
0.013 0.638 0.692
0.362 0.375 0.692
0.362 0.987 0.308
0.625 0.638 0.308
0.625 0.987 0.692
```

(7)
Theoretical XRD peak list
Compound: La9Fe2Br14
Radiation: Cu Kα (weighted mean of Kα1 and Kα2)
Structure: a DFT-relaxed cell (PBE, Alexandria)
Kinematic intensities with the Lorentz-polarization factor, no thermal factor.

Principal peaks in the range 2θ = 10–90°, by angle:
13.60 deg, d = 6.510 Å, intensity 53; 21.30 deg, d = 4.171 Å, intensity 99; 21.76 deg, d = 4.084 Å, intensity 48; 27.40 deg, d = 3.255 Å, intensity 19; 30.79 deg, d = 2.904 Å, intensity 46; 31.44 deg, d = 2.845 Å, intensity 30; 31.66 deg, d = 2.826 Å, intensity 66; 35.03 deg, d = 2.561 Å, intensity 77; 35.62 deg, d = 2.521 Å, intensity 100; 38.02 deg, d = 2.367 Å, intensity 46; 52.29 deg, d = 1.749 Å, intensity 21; 56.54 deg, d = 1.628 Å, intensity 20

Structure:
```
La9Fe2Br14
1.0
8.873 0.000 0.000
-4.437 7.684 0.000
0.000 0.000 12.252
La Fe Br
9 2 14
direct
0.000 0.000 0.000
0.095 0.389 0.335
0.293 0.905 0.335
0.333 0.667 0.060
0.389 0.293 0.665
0.611 0.707 0.335
0.667 0.333 0.940
0.707 0.095 0.665
0.905 0.611 0.665
0.333 0.667 0.270
0.667 0.333 0.730
0.000 0.000 0.253
0.000 0.000 0.747
0.042 0.685 0.911
0.084 0.395 0.596
0.310 0.916 0.596
0.315 0.358 0.911
0.358 0.042 0.089
0.395 0.310 0.404
0.605 0.690 0.596
0.642 0.958 0.911
0.685 0.642 0.089
0.690 0.084 0.404
0.916 0.605 0.404
0.958 0.315 0.089
```

(8)
Theoretical XRD peak list
Compound: La6FePt2Br3
Radiation: Cu Kα (weighted mean of Kα1 and Kα2)
Structure: a DFT-relaxed cell (PBE, Alexandria)
Kinematic intensities with the Lorentz-polarization factor, no thermal factor.

Principal peaks in the range 2θ = 10–90°, by angle:
11.24 deg, d = 7.875 Å, intensity 31; 28.75 deg, d = 3.105 Å, intensity 100; 36.25 deg, d = 2.478 Å, intensity 16; 39.24 deg, d = 2.296 Å, intensity 30; 42.92 deg, d = 2.107 Å, intensity 36; 44.51 deg, d = 2.036 Å, intensity 6; 49.22 deg, d = 1.851 Å, intensity 11; 52.48 deg, d = 1.744 Å, intensity 18; 59.51 deg, d = 1.553 Å, intensity 6; 64.77 deg, d = 1.439 Å, intensity 5; 70.01 deg, d = 1.344 Å, intensity 9; 76.17 deg, d = 1.250 Å, intensity 8

Structure:
```
La6FePt2Br3
1.0
3.647 -6.327 0.000
3.647 6.327 0.000
-2.420 0.000 7.875
La Fe Pt Br
6 1 2 3
direct
0.065 0.378 0.196
0.248 0.248 0.805
0.378 0.065 0.196
0.622 0.935 0.804
0.752 0.752 0.195
0.935 0.622 0.804
0.000 0.000 0.000
0.333 0.667 0.000
0.667 0.333 0.000
0.163 0.837 0.500
0.500 0.500 0.500
0.837 0.163 0.500
```